Calculated powder XRD pattern
Compound: CrAuICl
Radiation: Cu Kα (weighted mean of Kα1 and Kα2)
Structure: a cell relaxed with GGA-PBE
No peak broadening, texture or thermal motion is included.

Cell and atoms:
Cell: 3.4871 4.6265 7.8895 Å, 77.76 87.89 68.04°
Space group P1 (No. 1)
Inequivalent atoms, fractional coordinates:
Cr (0.0000, 0.0000, 0.0000) (multiplicity 1)
Au (0.2806, 0.4663, 0.8599) (multiplicity 1)
I (0.9802, 0.0950, 0.6386) (multiplicity 1)
Cl (0.5755, 0.8151, 0.1948) (multiplicity 1)

Main lines, in order of falling intensity (2θ from 10° to 80°):
d [Å]  I/Imax  index
7.702  100  0 0 1
3.199  30  0 1 2
3.090  20  1 1 1
3.390  20  0 1 -1
3.030  19  1 0 -1
2.192  16  1 -1 0
2.433  14  0 1 3
2.574  12  0 1 -2